# 1
The following is a simulated powder diffraction line list of Ca3Pb3I14. It was derived from a crystal structure in the Materials Project, relaxed with GGA-PBE, using Cu Ka.

Principal peaks in the range 2θ = 15–90°, low angle first:
20.52 deg, rel. 44.2, (1 1 -1); 25.52 deg, rel. 76.5, (3 1 0); 25.64 deg, rel. 56.7, (1 0 -7); 26.37 deg, rel. 100.0, (3 1 1); 26.44 deg, rel. 59.2, (0 0 7); 26.98 deg, rel. 57.5, (1 1 -5); 31.58 deg, rel. 63.1, (3 1 -6); 32.98 deg, rel. 51.1, (5 1 -2); 36.96 deg, rel. 61.2, (2 1 7); 39.98 deg, rel. 59.5, (0 2 0)

Cell and atoms:
```
data_Ca3Pb3I14
_cell_length_a 17.0339
_cell_length_b 4.5098
_cell_length_c 24.3075
_cell_angle_alpha 90.00
_cell_angle_beta 103.91
_cell_angle_gamma 90.00
_space_group_name_H-M_alt 'P 1 21/m 1'
_space_group_IT_number 11
loop_
_space_group_symop_operation_xyz
'x,y,z'
'-x,-y,-z'
'-x,y+1/2,-z'
'x,-y+1/2,z'
loop_
_atom_site_label
_atom_site_fract_x
_atom_site_fract_y
_atom_site_fract_z
_atom_site_occupancy
Ca1 0.0562 0.2500 0.3131 1
Ca2 0.2956 0.7500 0.0420 1
Ca3 0.4010 0.2500 0.6335 1
Pb1 0.1255 0.2500 0.8641 1
Pb2 0.2434 0.7500 0.4785 1
Pb3 0.4658 0.2500 0.2073 1
I1 0.0472 0.2500 0.6484 1
I2 0.0542 0.7500 0.2086 1
I3 0.0957 0.7500 0.9496 1
I4 0.1079 0.2500 0.4638 1
I5 0.1553 0.7500 0.7795 1
I6 0.1882 0.2500 0.0775 1
I7 0.2045 0.7500 0.3424 1
I8 0.2678 0.7500 0.6153 1
I9 0.3038 0.2500 0.9398 1
I10 0.3296 0.7500 0.1877 1
I11 0.3895 0.2500 0.5021 1
I12 0.3919 0.2500 0.7630 1
I13 0.4458 0.2500 0.0742 1
I14 0.4650 0.2500 0.3415 1
```

***

# 2
The following is a simulated powder diffraction line list of CaPbI4. It was derived from a crystal structure in the Materials Project, relaxed with GGA-PBE, using Cu Ka.

Principal peaks in the range 2θ = 15–90°, low angle first:
15.77 deg, rel. 59.1, (1 1 1); 24.36 deg, rel. 100.0, (2 1 -2); 24.55 deg, rel. 83.1, (0 1 4); 25.12 deg, rel. 74.0, (1 2 1); 31.14 deg, rel. 46.2, (3 1 -1); 31.48 deg, rel. 58.9, (1 1 5); 31.85 deg, rel. 47.2, (2 2 2); 37.63 deg, rel. 42.9, (2 0 -6); 39.00 deg, rel. 86.0, (1 3 -3); 40.87 deg, rel. 26.0, (3 2 3)

Cell and atoms:
```
data_CaPbI4
_cell_length_a 9.3556
_cell_length_b 7.9111
_cell_length_c 16.3313
_cell_angle_alpha 90.00
_cell_angle_beta 92.14
_cell_angle_gamma 90.00
_space_group_name_H-M_alt 'P 1 21/c 1'
_space_group_IT_number 14
loop_
_space_group_symop_operation_xyz
'x,y,z'
'-x,-y,-z'
'-x,y+1/2,-z+1/2'
'x,-y+1/2,z+1/2'
loop_
_atom_site_label
_atom_site_fract_x
_atom_site_fract_y
_atom_site_fract_z
_atom_site_occupancy
Ca1 0.1862 0.1833 0.3933 1
Pb1 0.3565 0.0062 0.6277 1
I1 0.0937 0.6803 0.2021 1
I2 0.1808 0.1802 0.0641 1
I3 0.3241 0.6516 0.9437 1
I4 0.4407 0.1658 0.8108 1
```

***

# 3
The following is a simulated powder diffraction line list of CaPbI4. It was derived from a crystal structure in the Materials Project, relaxed with GGA-PBE, using Cu Ka.

Principal peaks in the range 2θ = 15–90°, low angle first:
22.92 deg, rel. 24.3, (0 4 1); 25.11 deg, rel. 100.0, (1 2 2); 28.36 deg, rel. 72.8, (1 2 3); 32.39 deg, rel. 27.6, (0 4 4); 37.03 deg, rel. 39.3, (1 2 5); 38.95 deg, rel. 34.5, (2 0 0); 39.36 deg, rel. 32.4, (1 6 1); 42.09 deg, rel. 25.4, (1 2 6); 48.85 deg, rel. 13.9, (0 8 3); 51.53 deg, rel. 15.7, (2 4 4)

Cell and atoms:
```
data_CaPbI4
_cell_length_a 4.6213
_cell_length_b 16.0510
_cell_length_c 15.2565
_cell_angle_alpha 90.00
_cell_angle_beta 90.00
_cell_angle_gamma 90.00
_space_group_name_H-M_alt 'P m n 21'
_space_group_IT_number 31
loop_
_space_group_symop_operation_xyz
'x,y,z'
'-x+1/2,-y,z+1/2'
'-x,y,z'
'x+1/2,-y,z+1/2'
loop_
_atom_site_label
_atom_site_fract_x
_atom_site_fract_y
_atom_site_fract_z
_atom_site_occupancy
Ca1 0.0000 0.0163 0.0000 1
Ca2 0.0000 0.2315 0.4925 1
Pb1 0.0000 0.5192 0.9976 1
Pb2 0.0000 0.7347 0.4923 1
I1 0.0000 0.0635 0.3835 1
I2 0.0000 0.1742 0.8750 1
I3 0.0000 0.3488 0.1169 1
I4 0.0000 0.3903 0.6159 1
I5 0.0000 0.5636 0.3728 1
I6 0.0000 0.6885 0.8768 1
I7 0.0000 0.8485 0.1091 1
I8 0.0000 0.9022 0.6150 1
```

***

# 4
The following is a simulated powder diffraction line list of CaPbI4. It was derived from a crystal structure in the Materials Project, relaxed with GGA-PBE, using Cu Ka.

Principal peaks in the range 2θ = 15–90°, low angle first:
16.07 deg, rel. 43.4, (0 1 2); 22.15 deg, rel. 64.8, (1 1 -3); 22.65 deg, rel. 46.4, (0 2 0); 23.93 deg, rel. 65.5, (2 1 -2); 25.24 deg, rel. 70.1, (1 2 1); 25.63 deg, rel. 85.4, (0 1 4); 30.02 deg, rel. 44.8, (2 2 1); 38.57 deg, rel. 56.7, (2 0 -6); 38.75 deg, rel. 42.6, (4 1 0); 39.47 deg, rel. 100.0, (1 3 -3)

Cell and atoms:
```
data_CaPbI4
_cell_length_a 9.7452
_cell_length_b 7.8518
_cell_length_c 15.5275
_cell_angle_alpha 90.00
_cell_angle_beta 93.03
_cell_angle_gamma 90.00
_space_group_name_H-M_alt 'P 1 21/c 1'
_space_group_IT_number 14
loop_
_space_group_symop_operation_xyz
'x,y,z'
'-x,-y,-z'
'-x,y+1/2,-z+1/2'
'x,-y+1/2,z+1/2'
loop_
_atom_site_label
_atom_site_fract_x
_atom_site_fract_y
_atom_site_fract_z
_atom_site_occupancy
Ca1 0.1292 0.0051 0.3698 1
Pb1 0.3190 0.1794 0.6168 1
I1 0.0417 0.1689 0.1871 1
I2 0.1587 0.6522 0.0585 1
I3 0.3087 0.1858 0.9334 1
I4 0.3773 0.6716 0.7947 1
```

***

# 5
The following is a simulated powder diffraction line list of CaPbI4. It was derived from a crystal structure in the Materials Project, relaxed with GGA-PBE, using Cu Ka.

Principal peaks in the range 2θ = 15–90°, low angle first:
15.56 deg, rel. 21.2, (1 1 0); 22.72 deg, rel. 34.1, (0 2 0); 22.92 deg, rel. 26.9, (2 1 -3); 23.19 deg, rel. 100.0, (1 1 -4); 24.60 deg, rel. 31.0, (1 2 -1); 31.31 deg, rel. 89.7, (3 1 -4); 31.42 deg, rel. 73.9, (2 2 0); 32.22 deg, rel. 78.2, (1 1 4); 40.18 deg, rel. 51.2, (1 3 -4); 41.03 deg, rel. 28.5, (2 0 -8)

Cell and atoms:
```
data_CaPbI4
_cell_length_a 9.5211
_cell_length_b 7.8286
_cell_length_c 17.6084
_cell_angle_alpha 90.00
_cell_angle_beta 119.34
_cell_angle_gamma 90.00
_space_group_name_H-M_alt 'P 1 21/c 1'
_space_group_IT_number 14
loop_
_space_group_symop_operation_xyz
'x,y,z'
'-x,-y,-z'
'-x,y+1/2,-z+1/2'
'x,-y+1/2,z+1/2'
loop_
_atom_site_label
_atom_site_fract_x
_atom_site_fract_y
_atom_site_fract_z
_atom_site_occupancy
Ca1 0.2119 0.1280 0.1202 1
Pb1 0.2425 0.0738 0.8641 1
I1 0.0292 0.7176 0.5791 1
I2 0.0359 0.7080 0.8326 1
I3 0.4638 0.2185 0.0595 1
I4 0.4674 0.2365 0.3058 1
```

***

# 6
The following is a simulated powder diffraction line list of Ca3Pb3I14. It was derived from a crystal structure in the Materials Project, relaxed with GGA-PBE, using Cu Ka.

Principal peaks in the range 2θ = 15–90°, low angle first:
23.00 deg, rel. 31.3, (4 0 -4); 25.70 deg, rel. 63.5, (3 1 0); 26.25 deg, rel. 47.4, (0 0 7); 26.57 deg, rel. 100.0, (3 1 1); 27.06 deg, rel. 56.4, (1 1 -5); 31.59 deg, rel. 44.4, (3 1 -6); 33.07 deg, rel. 39.2, (5 1 -2); 36.97 deg, rel. 37.8, (2 1 7); 40.49 deg, rel. 43.5, (0 2 0); 63.72 deg, rel. 25.6, (8 2 -8)

Cell and atoms:
```
data_Ca3Pb3I14
_cell_length_a 17.0670
_cell_length_b 4.4554
_cell_length_c 24.5084
_cell_angle_alpha 90.00
_cell_angle_beta 104.13
_cell_angle_gamma 90.00
_space_group_name_H-M_alt 'P 1 21/m 1'
_space_group_IT_number 11
loop_
_space_group_symop_operation_xyz
'x,y,z'
'-x,-y,-z'
'-x,y+1/2,-z'
'x,-y+1/2,z'
loop_
_atom_site_label
_atom_site_fract_x
_atom_site_fract_y
_atom_site_fract_z
_atom_site_occupancy
Ca1 0.0362 0.2500 0.2903 1
Ca2 0.2607 0.7500 0.0200 1
Ca3 0.3767 0.2500 0.6357 1
Pb1 0.1010 0.2500 0.8664 1
Pb2 0.1915 0.7500 0.4631 1
Pb3 0.4404 0.2500 0.1983 1
I1 0.0430 0.2500 0.1617 1
I2 0.0442 0.2500 0.4183 1
I3 0.0994 0.2500 0.7330 1
I4 0.1233 0.2500 0.0024 1
I5 0.1704 0.7500 0.3065 1
I6 0.1973 0.2500 0.5664 1
I7 0.2437 0.7500 0.8875 1
I8 0.2897 0.7500 0.1506 1
I9 0.3090 0.2500 0.4241 1
I10 0.3439 0.7500 0.7183 1
I11 0.3926 0.2500 0.0253 1
I12 0.4198 0.7500 0.5551 1
I13 0.4405 0.7500 0.3003 1
I14 0.4602 0.2500 0.8556 1
```

***

# 7
The following is a simulated powder diffraction line list of CaPbI6. It was derived from a crystal structure in the Materials Project, relaxed with GGA-PBE, using Cu Ka.

Principal peaks in the range 2θ = 15–90°, low angle first:
17.28 deg, rel. 89.2, (2 4 0); 21.99 deg, rel. 62.6, (2 4 2); 23.76 deg, rel. 49.2, (3 5 1); 24.26 deg, rel. 35.7, (3 1 3); 26.47 deg, rel. 40.4, (4 4 2); 27.80 deg, rel. 84.1, (1 7 1); 28.82 deg, rel. 100.0, (6 0 2); 29.67 deg, rel. 45.4, (5 1 3); 30.69 deg, rel. 40.4, (3 5 3); 40.81 deg, rel. 36.0, (0 10 2)

Cell and atoms:
```
data_CaPbI6
_cell_length_a 21.0890
_cell_length_b 23.4973
_cell_length_c 13.1162
_cell_angle_alpha 90.00
_cell_angle_beta 90.00
_cell_angle_gamma 90.00
_space_group_name_H-M_alt 'F d d 2'
_space_group_IT_number 43
_space_group_name_Hall 'F 2 -2d'
loop_
_atom_site_label
_atom_site_fract_x
_atom_site_fract_y
_atom_site_fract_z
_atom_site_occupancy
Ca1 0.1090 0.3596 0.0000 1
Pb1 0.0877 0.4361 0.3456 1
I1 0.0028 0.0976 0.6460 1
I2 0.0519 0.1461 0.2404 1
I3 0.0701 0.2367 0.9378 1
I4 0.0742 0.0587 0.9415 1
I5 0.0931 0.4723 0.8828 1
I6 0.1105 0.1850 0.4343 1
```

***

# 8
The following is a simulated powder diffraction line list of CaPbI4. It was derived from a crystal structure in the Materials Project, relaxed with GGA-PBE, using Cu Ka.

Principal peaks in the range 2θ = 15–90°, low angle first:
18.83 deg, rel. 46.8, (1 2 -1); 24.90 deg, rel. 79.8, (1 2 -2); 25.15 deg, rel. 68.4, (1 2 2); 25.29 deg, rel. 70.6, (2 2 0); 28.45 deg, rel. 34.4, (1 3 -2); 28.68 deg, rel. 38.0, (1 3 2); 28.80 deg, rel. 40.5, (2 3 0); 38.05 deg, rel. 100.0, (0 0 4); 38.37 deg, rel. 36.8, (3 0 -2); 38.88 deg, rel. 40.8, (3 0 2)

Cell and atoms:
```
data_CaPbI4
_cell_length_a 8.0403
_cell_length_b 14.6037
_cell_length_c 9.4547
_cell_angle_alpha 90.00
_cell_angle_beta 90.85
_cell_angle_gamma 90.00
_space_group_name_H-M_alt 'P 1 21/c 1'
_space_group_IT_number 14
loop_
_space_group_symop_operation_xyz
'x,y,z'
'-x,-y,-z'
'-x,y+1/2,-z+1/2'
'x,-y+1/2,z+1/2'
loop_
_atom_site_label
_atom_site_fract_x
_atom_site_fract_y
_atom_site_fract_z
_atom_site_occupancy
Ca1 0.0969 0.1271 0.1357 1
Pb1 0.3911 0.6366 0.6491 1
I1 0.0696 0.7416 0.1070 1
I2 0.2379 0.5023 0.8623 1
I3 0.2389 0.5040 0.3940 1
I4 0.4065 0.2466 0.6072 1
```